Record 1
Starting from a crystal structure in Alexandria, relaxed with GGA-PBE, the X-ray powder pattern of TbAl2Pt9 was calculated for λ = 1.5418 Å (Cu Kα).
Intensities are scaled so that the largest is 1000.

Peak list (12 most intense, 10° ≤ 2θ ≤ 90°, low angle first)
two_theta	d [Å]	intensity
22.17	4.010	76
22.44	3.962	32
31.55	2.835	32
31.75	2.818	62
39.07	2.306	1000
45.23	2.005	344
45.81	1.981	145
65.88	1.418	113
66.33	1.409	193
79.34	1.208	262
80.18	1.197	96
83.93	1.153	103

Atomic structure:
```
data_TbAl2Pt9
_space_group_name_H-M_alt 'P 1'
_space_group_IT_number 1
_cell_length_a 4.0099
_cell_length_b 4.0099
_cell_length_c 11.8857
_cell_angle_alpha 90.00
_cell_angle_beta 90.00
_cell_angle_gamma 90.00
loop_
_space_group_symop_operation_xyz
'x,y,z'
loop_
_atom_site_label
_atom_site_fract_x
_atom_site_fract_y
_atom_site_fract_z
Tb1 0.0000 0.0000 0.0000
Al1 0.0000 0.0000 0.3391
Al2 0.0000 0.0000 0.6609
Pt1 0.0000 0.5000 0.1814
Pt2 0.0000 0.5000 0.5000
Pt3 0.0000 0.5000 0.8186
Pt4 0.5000 0.0000 0.1814
Pt5 0.5000 0.0000 0.5000
Pt6 0.5000 0.0000 0.8186
Pt7 0.5000 0.5000 0.0000
Pt8 0.5000 0.5000 0.3405
Pt9 0.5000 0.5000 0.6595
```

Record 2
Starting from a crystal structure in Alexandria, relaxed with GGA-PBE, the X-ray powder pattern of Ni3PdCl8 was calculated for λ = 1.5418 Å (Cu Kα).
Intensities are scaled so that the largest is 1000.

Peak list (12 most intense, 10° ≤ 2θ ≤ 90°, low angle first)
two_theta	d [Å]	intensity
14.01	6.322	1000
29.38	3.040	170
29.48	3.030	94
34.66	2.588	469
34.98	2.565	232
44.41	2.040	152
44.87	2.020	70
48.16	1.890	70
48.64	1.872	141
51.46	1.776	216
61.86	1.500	67
63.73	1.460	69

Atomic structure:
```
data_Ni3PdCl8
_space_group_name_H-M_alt 'P 1'
_space_group_IT_number 1
_cell_length_a 7.1033
_cell_length_b 7.1033
_cell_length_c 7.5806
_cell_angle_alpha 118.54
_cell_angle_beta 118.54
_cell_angle_gamma 60.01
loop_
_space_group_symop_operation_xyz
'x,y,z'
loop_
_atom_site_label
_atom_site_fract_x
_atom_site_fract_y
_atom_site_fract_z
Ni1 0.0000 0.0000 0.0000
Ni2 0.0000 0.5000 0.0000
Ni3 0.5000 0.0000 0.0000
Pd1 0.5000 0.5000 0.0000
Cl1 0.2222 0.7456 0.2094
Cl2 0.2365 0.2365 0.2053
Cl3 0.2545 0.2545 0.7906
Cl4 0.2544 0.7778 0.7906
Cl5 0.7456 0.2222 0.2094
Cl6 0.7455 0.7455 0.2094
Cl7 0.7635 0.7635 0.7947
Cl8 0.7778 0.2544 0.7906
```

Record 3
Starting from a crystal structure in Alexandria, relaxed with GGA-PBE, the X-ray powder pattern of PuB2H8 was calculated for λ = 1.5418 Å (Cu Kα).
Intensities are scaled so that the largest is 1000.

Peak list (12 most intense, 10° ≤ 2θ ≤ 90°, low angle first)
two_theta	d [Å]	intensity
17.11	5.184	673
23.97	3.712	1000
25.97	3.431	664
32.86	2.726	512
37.27	2.413	350
40.89	2.207	286
44.62	2.031	374
47.33	1.921	161
47.95	1.897	173
49.08	1.856	138
54.61	1.680	207
64.74	1.440	153

Atomic structure:
```
data_PuB2H8
_space_group_name_H-M_alt 'P 1'
_space_group_IT_number 1
_cell_length_a 4.4167
_cell_length_b 4.4167
_cell_length_c 5.7782
_cell_angle_alpha 112.51
_cell_angle_beta 112.51
_cell_angle_gamma 59.90
loop_
_space_group_symop_operation_xyz
'x,y,z'
loop_
_atom_site_label
_atom_site_fract_x
_atom_site_fract_y
_atom_site_fract_z
Pu1 0.0000 0.0000 0.0000
B1 0.2344 0.2344 0.7043
B2 0.7656 0.7656 0.2957
H1 0.0495 0.5858 0.2202
H2 0.1563 0.1563 0.4697
H3 0.4139 0.4139 0.7800
H4 0.4142 0.9505 0.7798
H5 0.5858 0.0495 0.2202
H6 0.5861 0.5861 0.2200
H7 0.8437 0.8437 0.5303
H8 0.9505 0.4142 0.7798
```

Record 4
Starting from a crystal structure in Alexandria, relaxed with GGA-PBE, the X-ray powder pattern of PuTl15Hg4 was calculated for λ = 1.5418 Å (Cu Kα).
Intensities are scaled so that the largest is 1000.

Peak list (10 most intense, 10° ≤ 2θ ≤ 90°, low angle first)
two_theta	d [Å]	intensity
31.79	2.815	1000
34.10	2.629	5
36.87	2.438	506
53.13	1.724	357
63.25	1.470	422
66.42	1.408	122
78.46	1.219	57
87.12	1.119	117
87.15	1.118	63
89.96	1.091	52

Atomic structure:
```
data_PuTl15Hg4
_space_group_name_H-M_alt 'P 1'
_space_group_IT_number 1
_cell_length_a 4.8749
_cell_length_b 4.8749
_cell_length_c 24.3895
_cell_angle_alpha 90.00
_cell_angle_beta 90.00
_cell_angle_gamma 90.00
loop_
_space_group_symop_operation_xyz
'x,y,z'
loop_
_atom_site_label
_atom_site_fract_x
_atom_site_fract_y
_atom_site_fract_z
Pu1 0.0000 0.0000 0.0000
Tl1 0.0000 0.5000 0.0977
Tl2 0.0000 0.5000 0.2967
Tl3 0.0000 0.5000 0.5000
Tl4 0.0000 0.5000 0.7033
Tl5 0.0000 0.5000 0.9023
Tl6 0.5000 0.0000 0.0977
Tl7 0.5000 0.0000 0.2967
Tl8 0.5000 0.0000 0.5000
Tl9 0.5000 0.0000 0.7033
Tl10 0.5000 0.0000 0.9023
Tl11 0.5000 0.5000 0.0000
Tl12 0.5000 0.5000 0.1965
Tl13 0.5000 0.5000 0.3991
Tl14 0.5000 0.5000 0.6009
Tl15 0.5000 0.5000 0.8035
Hg1 0.0000 0.0000 0.1936
Hg2 0.0000 0.0000 0.3986
Hg3 0.0000 0.0000 0.6014
Hg4 0.0000 0.0000 0.8064
```

Record 5
Starting from a crystal structure in Alexandria, relaxed with GGA-PBE, the X-ray powder pattern of Ce4TcHg3 was calculated for λ = 1.5418 Å (Cu Kα).
Intensities are scaled so that the largest is 1000.

Peak list (12 most intense, 10° ≤ 2θ ≤ 90°, low angle first)
two_theta	d [Å]	intensity
30.57	2.925	108
33.48	2.676	1000
35.78	2.510	61
37.69	2.387	413
41.10	2.196	97
52.94	1.730	81
54.36	1.688	145
56.98	1.616	149
64.55	1.444	86
65.37	1.428	291
70.35	1.338	80
89.29	1.097	79

Atomic structure:
```
data_Ce4TcHg3
_space_group_name_H-M_alt 'P 1'
_space_group_IT_number 1
_cell_length_a 3.3754
_cell_length_b 3.3754
_cell_length_c 17.5683
_cell_angle_alpha 90.00
_cell_angle_beta 90.00
_cell_angle_gamma 90.00
loop_
_space_group_symop_operation_xyz
'x,y,z'
loop_
_atom_site_label
_atom_site_fract_x
_atom_site_fract_y
_atom_site_fract_z
Ce1 0.0000 0.0000 0.0991
Ce2 0.0000 0.0000 0.3690
Ce3 0.0000 0.0000 0.6310
Ce4 0.0000 0.0000 0.9009
Tc1 0.5000 0.5000 0.0000
Hg1 0.5000 0.5000 0.2381
Hg2 0.5000 0.5000 0.5000
Hg3 0.5000 0.5000 0.7619
```

Record 6
Starting from a crystal structure in Alexandria, relaxed with GGA-PBE, the X-ray powder pattern of Ba2Ce2O5 was calculated for λ = 1.5418 Å (Cu Kα).
Intensities are scaled so that the largest is 1000.

Peak list (12 most intense, 10° ≤ 2θ ≤ 90°, low angle first)
two_theta	d [Å]	intensity
27.86	3.202	261
28.21	3.163	1000
28.31	3.152	294
40.14	2.246	236
40.50	2.227	151
49.50	1.841	176
49.87	1.829	104
50.09	1.821	359
58.34	1.582	153
65.79	1.420	65
66.29	1.410	92
80.61	1.192	120

Atomic structure:
```
data_Ba2Ce2O5
_space_group_name_H-M_alt 'P 1'
_space_group_IT_number 1
_cell_length_a 6.3043
_cell_length_b 12.8090
_cell_length_c 4.4549
_cell_angle_alpha 90.00
_cell_angle_beta 90.00
_cell_angle_gamma 90.00
loop_
_space_group_symop_operation_xyz
'x,y,z'
loop_
_atom_site_label
_atom_site_fract_x
_atom_site_fract_y
_atom_site_fract_z
Ba1 0.2467 0.1060 0.0000
Ba2 0.2533 0.6060 0.0000
Ba3 0.7467 0.3940 0.0000
Ba4 0.7533 0.8940 0.0000
Ce1 0.2472 0.8633 0.5000
Ce2 0.2528 0.3633 0.5000
Ce3 0.7472 0.6367 0.5000
Ce4 0.7528 0.1367 0.5000
O1 0.0000 0.5000 0.5000
O2 0.0901 0.2092 0.5000
O3 0.1903 0.8986 0.0000
O4 0.3097 0.3986 0.0000
O5 0.4099 0.7092 0.5000
O6 0.5000 0.0000 0.5000
O7 0.5901 0.2908 0.5000
O8 0.6903 0.6014 0.0000
O9 0.8097 0.1014 0.0000
O10 0.9099 0.7908 0.5000
```

Record 7
Starting from a crystal structure in Alexandria, relaxed with GGA-PBE, the X-ray powder pattern of Sr2AlCu2SbO7 was calculated for λ = 1.5418 Å (Cu Kα).
Intensities are scaled so that the largest is 1000.

Peak list (12 most intense, 10° ≤ 2θ ≤ 90°, low angle first)
two_theta	d [Å]	intensity
27.91	3.197	1000
32.51	2.754	868
33.60	2.668	532
33.79	2.653	527
37.05	2.426	460
38.11	2.361	190
48.39	1.881	476
50.87	1.795	202
51.01	1.790	201
59.39	1.556	189
59.64	1.550	185
62.47	1.487	279

Atomic structure:
```
data_Sr2AlCu2SbO7
_space_group_name_H-M_alt 'P 1'
_space_group_IT_number 1
_cell_length_a 12.7018
_cell_length_b 12.7018
_cell_length_c 5.3351
_cell_angle_alpha 102.12
_cell_angle_beta 102.12
_cell_angle_gamma 24.11
loop_
_space_group_symop_operation_xyz
'x,y,z'
loop_
_atom_site_label
_atom_site_fract_x
_atom_site_fract_y
_atom_site_fract_z
Sr1 0.1417 0.1417 0.1370
Sr2 0.3584 0.3582 0.3543
Sr3 0.6418 0.6416 0.6457
Sr4 0.8583 0.8583 0.8630
Al1 0.4965 0.5035 0.5000
Al2 0.9957 0.0043 0.0000
Cu1 0.0521 0.0601 0.5553
Cu2 0.4397 0.4481 0.9443
Cu3 0.5519 0.5603 0.0557
Cu4 0.9399 0.9479 0.4447
Sb1 0.2407 0.2594 0.7528
Sb2 0.7406 0.7593 0.2472
O1 0.1199 0.7758 0.7717
O2 0.1510 0.1723 0.6701
O3 0.2242 0.8801 0.2283
O4 0.2672 0.6290 0.2716
O5 0.3277 0.3491 0.8473
O6 0.3710 0.7328 0.7284
O7 0.3740 0.1260 0.1167
O8 0.6200 0.2757 0.6250
O9 0.6509 0.6723 0.1527
O10 0.7243 0.3800 0.3750
O11 0.7671 0.1291 0.1256
O12 0.8277 0.8490 0.3299
O13 0.8709 0.2329 0.8744
O14 0.8740 0.6260 0.8833
```

Record 8
Starting from a crystal structure in Alexandria, relaxed with GGA-PBE, the X-ray powder pattern of Mn6Ru was calculated for λ = 1.5418 Å (Cu Kα).
Intensities are scaled so that the largest is 1000.

Peak list (12 most intense, 10° ≤ 2θ ≤ 90°, low angle first)
two_theta	d [Å]	intensity
38.72	2.326	512
39.11	2.303	330
40.83	2.210	339
41.73	2.165	849
42.46	2.129	1000
43.42	2.084	220
45.18	2.007	277
47.36	1.919	473
48.03	1.894	205
48.73	1.869	282
49.99	1.824	491
73.17	1.294	224

Atomic structure:
```
data_Mn6Ru
_space_group_name_H-M_alt 'P 1'
_space_group_IT_number 1
_cell_length_a 7.4291
_cell_length_b 4.6063
_cell_length_c 9.7942
_cell_angle_alpha 90.00
_cell_angle_beta 90.00
_cell_angle_gamma 90.00
loop_
_space_group_symop_operation_xyz
'x,y,z'
loop_
_atom_site_label
_atom_site_fract_x
_atom_site_fract_y
_atom_site_fract_z
Mn1 0.0495 0.2500 0.0739
Mn2 0.0871 0.5084 0.3123
Mn3 0.0871 0.9916 0.3123
Mn4 0.0891 0.7500 0.5166
Mn5 0.1143 0.2500 0.8460
Mn6 0.1826 0.7500 0.7375
Mn7 0.3174 0.2500 0.2375
Mn8 0.3857 0.7500 0.3460
Mn9 0.4109 0.2500 0.0166
Mn10 0.4129 0.0084 0.8123
Mn11 0.4129 0.4916 0.8123
Mn12 0.4505 0.7500 0.5739
Mn13 0.5495 0.2500 0.4261
Mn14 0.5871 0.5084 0.1877
Mn15 0.5871 0.9916 0.1877
Mn16 0.5891 0.7500 0.9834
Mn17 0.6143 0.2500 0.6540
Mn18 0.6826 0.7500 0.7625
Mn19 0.8174 0.2500 0.2625
Mn20 0.8857 0.7500 0.1540
Mn21 0.9109 0.2500 0.4834
Mn22 0.9129 0.0084 0.6877
Mn23 0.9129 0.4916 0.6877
Mn24 0.9505 0.7500 0.9261
Ru1 0.2432 0.2500 0.5813
Ru2 0.2568 0.7500 0.0813
Ru3 0.7432 0.2500 0.9187
Ru4 0.7568 0.7500 0.4187
```